Record 1
This entry pairs a crystal structure of Tl3Cd4In4 with its simulated PXRD pattern. Radiation: Cu Kα (λ = 1.5418 Å). Structure: a DFT-relaxed cell (GGA-PBE, Alexandria).
No peak broadening, texture or thermal motion is included.

Principal peaks in the range 5° ≤ 2θ ≤ 70°, in order of falling intensity:
2theta, d [Å], I/Imax, hkl
29.23, 3.056, 100.0, 1 2 1
31.21, 2.866, 79.8, 1 1 4
37.83, 2.378, 38.0, 2 0 0
30.01, 2.977, 34.4, 0 1 5
64.23, 1.450, 26.5, 1 5 4
36.84, 2.440, 25.5, 0 3 3
49.03, 1.858, 17.8, 2 1 5
53.84, 1.703, 17.0, 2 3 3
43.98, 2.059, 12.9, 0 4 0
39.55, 2.279, 12.4, 1 3 2

Structure:
Cell: 4.7559 8.2358 15.9660 Å, 90.00 90.00 90.00°
Space group Immm (No. 71)
Unique sites:
Tl  0.0000  0.0000  0.0000 [2 per cell]
Tl  0.0000  0.5000  0.1161 [4 per cell]
Cd  0.0000  0.0000  0.2162 [4 per cell]
Cd  0.0000  0.1933  0.5000 [4 per cell]
In  0.0000  0.2994  0.3256 [8 per cell]



Record 2
This entry pairs a crystal structure of Tl2Cd3In17 with its simulated PXRD pattern. Radiation: Cu Kα (λ = 1.5418 Å). Structure: a DFT-relaxed cell (GGA-PBE, Alexandria).
No peak broadening, texture or thermal motion is included.

Principal peaks in the range 5° ≤ 2θ ≤ 70°, in order of falling intensity:
2theta, d [Å], I/Imax, hkl
31.11, 2.875, 100.0, 2 2 0
30.89, 2.895, 39.3, 0 0 6
25.81, 3.452, 32.7, 1 2 2
44.42, 2.039, 27.8, 2 2 6
35.16, 2.552, 27.6, 1 2 5
31.45, 2.844, 21.2, 2 1 4
64.89, 1.437, 19.2, 4 4 0
47.65, 1.908, 18.1, 2 3 5
34.85, 2.574, 16.9, 2 2 3
36.47, 2.464, 16.7, 4 0 1

Structure:
Cell: 11.4951 11.4951 17.3676 Å, 90.00 90.00 120.00°
Space group R-3m (No. 166, hexagonal axes)
Unique sites:
Tl  0.0000  0.0000  0.1923 [6 per cell]
Cd  0.0000  0.5000  0.5000 [9 per cell]
In  0.0000  0.0000  0.3854 [6 per cell]
In  0.0000  0.2549  0.5000 [18 per cell]
In  0.0000  0.5000  0.0000 [9 per cell]
In  0.0148  0.5074  0.6730 [18 per cell]



Record 3
This entry pairs a crystal structure of Tl3Cd4In4 with its simulated PXRD pattern. Radiation: Cu Kα (λ = 1.5418 Å). Structure: a DFT-relaxed cell (GGA-PBE, Alexandria).
No peak broadening, texture or thermal motion is included.

Principal peaks in the range 5° ≤ 2θ ≤ 70°, in order of falling intensity:
2theta, d [Å], I/Imax, hkl
33.47, 2.677, 100.0, 1 1 4
34.03, 2.634, 97.4, 0 1 11
32.76, 2.733, 57.7, 0 2 0
33.06, 2.709, 55.2, 1 0 7
47.23, 1.924, 40.6, 1 2 7
66.79, 1.401, 26.8, 2 1 11
58.94, 1.567, 20.5, 1 3 4
59.30, 1.558, 19.2, 0 3 11
60.04, 1.541, 19.2, 1 1 18
66.03, 1.415, 16.7, 2 2 0

Structure:
Cell: 3.3073 5.4669 33.0725 Å, 90.00 90.00 90.00°
Space group Immm (No. 71)
Unique sites:
Tl  0.0000  0.0000  0.0000 [2 per cell]
Tl  0.0000  0.5000  0.1418 [4 per cell]
Cd  0.0000  0.0000  0.2670 [4 per cell]
Cd  0.0000  0.5000  0.4079 [4 per cell]
In  0.0000  0.0000  0.4526 [4 per cell]
In  0.0000  0.5000  0.3157 [4 per cell]



Record 4
This entry pairs a crystal structure of Tl3Cd2In5 with its simulated PXRD pattern. Radiation: Cu Kα (λ = 1.5418 Å). Structure: a DFT-relaxed cell (GGA-PBE, Alexandria).
No peak broadening, texture or thermal motion is included.

Principal peaks in the range 5° ≤ 2θ ≤ 70°, in order of falling intensity:
2theta, d [Å], I/Imax, hkl
32.39, 2.764, 100.0, 2 -1 0
32.14, 2.785, 92.2, 3 2 1
31.39, 2.850, 82.8, 0 2 -2
34.34, 2.612, 81.0, 2 1 -2
29.54, 3.024, 79.0, 1 0 3
32.69, 2.740, 64.7, 0 1 3
32.47, 2.757, 63.5, 1 3 1
33.81, 2.651, 62.7, 2 0 3
31.59, 2.832, 43.5, 1 2 -2
34.14, 2.626, 37.1, 1 2 3

Structure:
Cell: 8.5186 8.5790 9.2805 Å, 81.18 72.09 60.76°
Space group P-1 (No. 2)
Unique sites:
Tl  0.1165  0.2684  0.4706 [2 per cell]
Tl  0.3150  0.4724  0.6812 [2 per cell]
Tl  0.3453  0.7428  0.9854 [2 per cell]
Cd  0.0864  0.2100  0.8384 [2 per cell]
Cd  0.2062  0.8510  0.4307 [2 per cell]
In  0.0020  0.8949  0.8006 [2 per cell]
In  0.1756  0.3729  0.0755 [2 per cell]
In  0.3080  0.5107  0.2920 [2 per cell]
In  0.4178  0.8792  0.6178 [2 per cell]
In  0.4728  0.9543  0.1732 [2 per cell]



Record 5
This entry pairs a crystal structure of TlCd4In6 with its simulated PXRD pattern. Radiation: Cu Kα (λ = 1.5418 Å). Structure: a DFT-relaxed cell (GGA-PBE, Alexandria).
No peak broadening, texture or thermal motion is included.

Principal peaks in the range 5° ≤ 2θ ≤ 70°, in order of falling intensity:
2theta, d [Å], I/Imax, hkl
32.06, 2.792, 100.0, 1 -1 2
35.19, 2.550, 93.9, 2 2 2
36.00, 2.495, 86.3, 1 1 -2
36.74, 2.446, 85.7, 1 3 0
34.12, 2.628, 72.2, 0 2 2
34.60, 2.592, 68.4, 2 0 0
33.07, 2.709, 45.6, 2 2 1
32.70, 2.739, 41.0, 2 1 0
35.31, 2.542, 30.3, 1 -2 0
25.50, 3.493, 28.8, 1 0 2

Structure:
Cell: 5.8997 7.5951 7.6955 Å, 77.06 68.36 67.81°
Space group P1 (No. 1)
Unique sites:
Tl  0.0000  0.0000  0.0000 [1 per cell]
Cd  0.4720  0.1713  0.3288 [1 per cell]
Cd  0.5085  0.8754  0.1040 [1 per cell]
Cd  0.9510  0.3252  0.6673 [1 per cell]
Cd  0.9939  0.6591  0.8167 [1 per cell]
In  0.2396  0.5932  0.3986 [1 per cell]
In  0.4595  0.1942  0.7684 [1 per cell]
In  0.4600  0.5178  0.9751 [1 per cell]
In  0.5695  0.7601  0.5565 [1 per cell]
In  0.8839  0.4449  0.2340 [1 per cell]
In  0.9811  0.0206  0.4513 [1 per cell]



Record 6
This entry pairs a crystal structure of TlCdIn3 with its simulated PXRD pattern. Radiation: Cu Kα (λ = 1.5418 Å). Structure: a DFT-relaxed cell (GGA-PBE, Alexandria).
No peak broadening, texture or thermal motion is included.

Principal peaks in the range 5° ≤ 2θ ≤ 70°, in order of falling intensity:
2theta, d [Å], I/Imax, hkl
32.03, 2.794, 100.0, 1 0 3
36.45, 2.465, 65.6, 1 0 6
33.23, 2.696, 65.0, 1 0 4
32.93, 2.720, 56.8, 0 0 10
38.42, 2.343, 50.8, 1 0 7
64.79, 1.439, 46.8, 1 1 10
54.08, 1.696, 45.0, 1 1 0
34.71, 2.584, 23.6, 1 0 5
53.79, 1.704, 22.1, 1 0 13
31.15, 2.871, 21.6, 1 0 2

Structure:
Cell: 3.3914 3.3914 27.2010 Å, 90.00 90.00 120.00°
Space group P6_3mc (No. 186)
Unique sites:
Tl  0.3333  0.6667  0.0000 [2 per cell]
Cd  0.0000  0.0000  0.3008 [2 per cell]
In  0.0000  0.0000  0.1073 [2 per cell]
In  0.3333  0.6667  0.3934 [2 per cell]
In  0.3333  0.6667  0.7075 [2 per cell]



Record 7
This entry pairs a crystal structure of TlCd8In3 with its simulated PXRD pattern. Radiation: Cu Kα (λ = 1.5418 Å). Structure: a DFT-relaxed cell (GGA-PBE, Alexandria).
No peak broadening, texture or thermal motion is included.

Principal peaks in the range 5° ≤ 2θ ≤ 70°, in order of falling intensity:
2theta, d [Å], I/Imax, hkl
35.18, 2.551, 100.0, 1 1 2
36.13, 2.486, 84.1, 2 0 1
31.94, 2.802, 81.9, 0 1 3
58.38, 1.581, 33.0, 0 2 5
30.16, 2.963, 33.0, 1 1 0
54.70, 1.678, 31.8, 1 2 3
62.71, 1.481, 27.5, 2 2 0
56.87, 1.619, 24.3, 0 3 2
35.80, 2.508, 17.5, 0 0 4
39.44, 2.284, 16.2, 0 2 2

Structure:
Cell: 5.9259 5.9259 10.0326 Å, 90.00 90.00 120.00°
Space group P3m1 (No. 156)
Unique sites:
Tl  0.0000  0.0000  0.0000 [1 per cell]
Cd  0.1633  0.3266  0.6831 [3 per cell]
Cd  0.3333  0.6667  0.4356 [1 per cell]
Cd  0.3333  0.6667  0.9347 [1 per cell]
Cd  0.5032  0.0065  0.1874 [3 per cell]
In  0.0000  0.0000  0.3696 [1 per cell]
In  0.6667  0.3333  0.5012 [1 per cell]
In  0.6667  0.3333  0.8668 [1 per cell]



Record 8
This entry pairs a crystal structure of Tl16Cd6In7 with its simulated PXRD pattern. Radiation: Cu Kα (λ = 1.5418 Å). Structure: a DFT-relaxed cell (GGA-PBE, Alexandria).
No peak broadening, texture or thermal motion is included.

Principal peaks in the range 5° ≤ 2θ ≤ 70°, in order of falling intensity:
2theta, d [Å], I/Imax, hkl
33.17, 2.701, 100.0, 4 4 0
30.40, 2.940, 42.0, 3 3 3
23.29, 3.820, 32.6, 4 0 0
34.74, 2.583, 20.1, 5 3 1
60.27, 1.536, 19.5, 9 3 3
35.24, 2.546, 18.5, 6 0 0
59.26, 1.559, 18.3, 8 4 4
47.61, 1.910, 17.5, 8 0 0
40.92, 2.205, 14.1, 4 4 4
39.11, 2.303, 11.3, 6 2 2

Structure:
Cell: 15.2790 15.2790 15.2790 Å, 90.00 90.00 90.00°
Space group Fm-3m (No. 225)
Unique sites:
Tl  0.1201  0.1201  0.1201 [32 per cell]
Tl  0.1508  0.1508  0.3492 [32 per cell]
Cd  0.0000  0.0000  0.3430 [24 per cell]
In  0.0000  0.0000  0.0000 [4 per cell]
In  0.0000  0.2500  0.2500 [24 per cell]